The following is a simulated powder diffraction line list of CdCoH2Cl2O2. It was derived from a DFT-relaxed cell (PBE+U, OQMD), using Cu Kα, 1.54184 Å.

Crystal structure
```
data_CdCoH2Cl2O2
_symmetry_space_group_name_H-M 'P 3 m 1'
_symmetry_Int_Tables_number 156
_symmetry_space_group_name_Hall 'P 3 -2"'
_cell_length_a 3.5234
_cell_length_b 3.5234
_cell_length_c 10.3583
_cell_angle_alpha 90.00
_cell_angle_beta 90.00
_cell_angle_gamma 120.00
loop_
_atom_site_label
_atom_site_type_symbol
_atom_site_fract_x
_atom_site_fract_y
_atom_site_fract_z
Cd1 Cd 0.0000 0.0000 0.0000
Co1 Co 0.6667 0.3333 0.5049
H1 H 0.3333 0.6667 0.1854
H2 H 0.3333 0.6667 0.6695
Cl1 Cl 0.0000 0.0000 0.3586
Cl2 Cl 0.6667 0.3333 0.8315
O1 O 0.3333 0.6667 0.0909
O2 O 0.3333 0.6667 0.5748
```

Top 6 peaks for 2θ from 10° to 90°, in order of rising 2θ:
2θ (°)  d (Å)  I/Imax  index
17.12  5.179  87  0 0 2
29.27  3.051  24  1 0 0
30.54  2.927  78  0 1 1
34.10  2.629  35  0 1 2
39.41  2.286  100  1 0 3
51.90  1.762  36  1 1 0